Diffraction record for Ti4O7. The powder XRD pattern is computed, not measured: it uses the PBE geometry in the Materials Project and Cu Kα, 1.54184 Å.
Kinematic intensities with the Lorentz-polarization factor, no thermal factor.

```
Ti4O7
1.0
5.6378 0.0000 0.0000
1.7877 6.7235 0.0000
2.3266 2.6192 6.2715
Ti O
8 14
Cartesian
1.8165 1.3453 1.6514 Ti
3.0022 2.6478 4.7730 Ti
4.0889 5.7476 3.7049 Ti
2.9271 4.4701 0.5323 Ti
6.8250 4.8725 5.7392 Ti
5.6632 3.5951 2.5666 Ti
6.7499 6.6948 1.4985 Ti
7.9355 7.9973 4.6201 Ti
1.6631 2.5193 3.2570 O
2.9486 4.5867 4.7859 O
4.2179 7.3188 5.0106 O
3.0026 6.5409 0.4202 O
2.8047 2.4880 0.5447 O
3.9718 4.4926 2.1704 O
5.0846 6.9985 2.3193 O
4.6675 2.3441 3.9522 O
5.7803 4.8501 4.1011 O
6.9474 6.8546 5.7268 O
6.7494 2.8018 5.8513 O
5.5342 2.0239 1.2609 O
6.8035 4.7560 1.4856 O
8.0889 6.8234 3.0145 O
```

Main lines, in order of rising 2θ (15 to 90 degrees two-theta):
2θ = 20.54°, d 4.324, intensity 67; 2θ = 26.16°, d 3.407, intensity 100; 2θ = 29.37°, d 3.041, intensity 64; 2θ = 31.39°, d 2.850, intensity 89; 2θ = 33.93°, d 2.642, intensity 58; 2θ = 35.49°, d 2.529, intensity 51; 2θ = 36.10°, d 2.488, intensity 41; 2θ = 54.69°, d 1.678, intensity 39